Theoretical XRD peak list
Compound: AlFeAsH6
Radiation: copper Kα
Structure: a PBE-relaxed structure

Peak list (11 most intense, 2θ from 10° to 90°, low angle first)
2θ/deg	intensity	(hkl)
24.45	59	1 1 1
28.30	9	2 0 0
40.45	100	2 2 0
47.83	28	3 1 1
50.10	4	2 2 2
58.54	18	4 0 0
64.39	11	3 3 1
66.27	4	4 2 0
73.57	32	4 2 2
78.86	8	3 3 3
87.49	11	4 4 0

```
data_AlFeAsH6
_symmetry_space_group_name_H-M 'F -4 3 m'
_symmetry_Int_Tables_number 216
_symmetry_space_group_name_Hall 'F -4 2 3'
_cell_length_a 6.3071
_cell_length_b 6.3071
_cell_length_c 6.3071
_cell_angle_alpha 90.00
_cell_angle_beta 90.00
_cell_angle_gamma 90.00
loop_
_atom_site_label
_atom_site_type_symbol
_atom_site_fract_x
_atom_site_fract_y
_atom_site_fract_z
Al1 Al 0.0000 0.0000 0.0000
Fe1 Fe 0.2500 0.2500 0.2500
As1 As 0.0000 0.0000 0.5000
H1 H 0.0117 0.2500 0.7500
```

Theoretical XRD peak list
Compound: Al3Hg2As
Radiation: copper Kα
Structure: a PBE-relaxed structure

Peak list (12 most intense, 2θ from 10° to 90°, low angle first)
2θ/deg	intensity	(hkl)
20.60	18	0 0 2
25.61	100	1 0 1
31.11	22	0 0 3
33.33	25	1 1 0
34.96	22	1 1 1
39.30	29	1 0 3
39.50	52	1 1 2
47.85	24	2 0 0
48.55	19	1 0 4
55.06	26	2 1 1
58.19	15	2 0 3
69.99	18	2 2 0

```
data_Al3Hg2As
_symmetry_space_group_name_H-M 'P -4 m 2'
_symmetry_Int_Tables_number 115
_cell_length_a 3.8016
_cell_length_b 3.8016
_cell_length_c 8.6233
_cell_angle_alpha 90.00
_cell_angle_beta 90.00
_cell_angle_gamma 90.00
loop_
_symmetry_equiv_pos_as_xyz
'x,y,z'
'y,-x,-z'
'-x,-y,z'
'-y,x,-z'
'-x,y,z'
'-y,-x,-z'
'x,-y,z'
'y,x,-z'
loop_
_atom_site_label
_atom_site_type_symbol
_atom_site_fract_x
_atom_site_fract_y
_atom_site_fract_z
Al1 Al 0.0000 0.0000 0.0000
Al2 Al 0.0000 0.5000 0.6146
Hg1 Hg 0.0000 0.5000 0.2915
As1 As 0.5000 0.5000 0.0000
```

Theoretical XRD peak list
Compound: AlAsPdO
Radiation: copper Kα
Structure: a PBE-relaxed structure

Peak list (12 most intense, 2θ from 10° to 90°, low angle first)
2θ/deg	intensity	(hkl)
13.92	82	0 1 0
19.63	69	0 1 1
31.17	27	0 1 2
31.37	38	0 2 1
35.88	100	1 1 1
39.86	37	0 2 2
41.12	60	1 0 2
41.33	23	1 2 0
43.61	28	1 1 2
43.77	33	1 2 1
44.61	41	0 1 3
45.01	23	0 3 1

```
data_AlAsPdO
_symmetry_space_group_name_H-M 'P m c 21'
_symmetry_Int_Tables_number 26
_cell_length_a 3.0049
_cell_length_b 6.3631
_cell_length_c 6.4296
_cell_angle_alpha 90.00
_cell_angle_beta 90.00
_cell_angle_gamma 90.00
loop_
_symmetry_equiv_pos_as_xyz
'x,y,z'
'-x,-y,z+1/2'
'-x,y,z'
'x,-y,z+1/2'
loop_
_atom_site_label
_atom_site_type_symbol
_atom_site_fract_x
_atom_site_fract_y
_atom_site_fract_z
Al1 Al 0.0000 0.1896 0.0000
As1 As 0.0000 0.4308 0.3225
Pd1 Pd 0.5000 0.2967 0.6350
O1 O 0.5000 0.0494 0.0153
```